# 1
Structure and computed PXRD pattern of AcPm5Sm12 (a cell relaxed with PBE; Cu Ka).
Intensities are scaled so that the largest is 100.

Top 12 peaks for 10 to 80 degrees two-theta, by angle:
- 2θ 29.41, d = 3.037 Å, rel. 49
- 2θ 30.42, d = 2.938 Å, rel. 60
- 2θ 31.15, d = 2.871 Å, rel. 100
- 2θ 31.33, d = 2.855 Å, rel. 100
- 2θ 34.05, d = 2.633 Å, rel. 14
- 2θ 42.82, d = 2.112 Å, rel. 36
- 2θ 46.64, d = 1.947 Å, rel. 16
- 2θ 53.48, d = 1.713 Å, rel. 13
- 2θ 54.52, d = 1.683 Å, rel. 20
- 2θ 54.63, d = 1.680 Å, rel. 20
- 2θ 56.71, d = 1.623 Å, rel. 17
- 2θ 71.33, d = 1.322 Å, rel. 12

Structural model:
Unit cell a=10.575 b=10.575 c=6.075 alpha=90.25 beta=90.25 gamma=112.93
Positions (direct):
Ac1 0.000 0.000 0.000
Pm1 0.166 0.834 0.500
Pm2 0.326 0.674 0.000
Pm3 0.500 0.500 0.500
Pm4 0.674 0.326 0.000
Pm5 0.834 0.166 0.500
Sm1 0.018 0.351 0.939
Sm2 0.156 0.492 0.442
Sm3 0.184 0.184 0.541
Sm4 0.334 0.334 0.042
Sm5 0.351 0.018 0.939
Sm6 0.492 0.156 0.442
Sm7 0.508 0.844 0.558
Sm8 0.649 0.982 0.061
Sm9 0.666 0.666 0.958
Sm10 0.816 0.816 0.459
Sm11 0.844 0.508 0.558
Sm12 0.982 0.649 0.061

---

# 2
Structure and computed PXRD pattern of AcTbPm4Sm2 (a cell relaxed with PBE; Cu Ka).
Intensities are scaled so that the largest is 100.

Top 12 peaks for 10 to 80 degrees two-theta, by angle:
- 2θ 26.29, d = 3.390 Å, rel. 68
- 2θ 29.42, d = 3.036 Å, rel. 100
- 2θ 29.73, d = 3.005 Å, rel. 50
- 2θ 39.86, d = 2.262 Å, rel. 88
- 2θ 40.10, d = 2.249 Å, rel. 44
- 2θ 52.52, d = 1.742 Å, rel. 10
- 2θ 52.61, d = 1.740 Å, rel. 10
- 2θ 59.18, d = 1.561 Å, rel. 13
- 2θ 59.71, d = 1.549 Å, rel. 27
- 2θ 62.79, d = 1.480 Å, rel. 23
- 2θ 62.96, d = 1.476 Å, rel. 11
- 2θ 78.81, d = 1.214 Å, rel. 12

Structural model:
Unit cell a=9.715 b=9.715 c=7.036 alpha=111.16 beta=111.16 gamma=88.50
Positions (direct):
Ac1 0.000 0.500 0.000
Ac2 0.500 0.000 0.500
Tb1 0.000 0.000 0.000
Tb2 0.000 0.000 0.500
Pm1 0.240 0.257 0.475
Pm2 0.247 0.752 0.516
Pm3 0.248 0.753 0.984
Pm4 0.257 0.240 0.975
Pm5 0.743 0.760 0.025
Pm6 0.752 0.247 0.016
Pm7 0.753 0.248 0.484
Pm8 0.760 0.743 0.525
Sm1 0.000 0.500 0.500
Sm2 0.500 0.000 0.000
Sm3 0.500 0.500 0.000
Sm4 0.500 0.500 0.500